[1]
Computed powder diffractogram
Compound: LuAuNO
Radiation: Cu Kα
Structure: a crystal structure in OQMD, relaxed with GGA-PBE

Main lines, in order of rising 2θ (10 to 80 degrees two-theta):
| 2θ (°) | Rel. int. |
| --- | --- |
| 33.06 | 100 |
| 37.24 | 51 |
| 40.54 | 20 |
| 53.68 | 17 |
| 56.21 | 30 |
| 64.51 | 31 |

Crystal structure
Cell lengths 4.8293, 4.8293, 4.4507 Å; angles 90.00, 90.00, 90.00 degrees
Fractional coordinates of all 8 atoms:
Lu (0.2500, 0.7500, 0.0000)
Lu (0.7500, 0.2500, 0.0000)
Au (0.2500, 0.2500, 0.4944)
Au (0.7500, 0.7500, 0.5056)
N (0.2500, 0.2500, 0.9936)
N (0.7500, 0.7500, 0.0064)
O (0.2500, 0.7500, 0.5000)
O (0.7500, 0.2500, 0.5000)

[2]
Computed powder diffractogram
Compound: ErIn4GaCo
Radiation: Cu Kα
Structure: a crystal structure in OQMD, relaxed with GGA-PBE

Main lines, in order of rising 2θ (10 to 80 degrees two-theta):
| 2θ (°) | Rel. int. |
| --- | --- |
| 30.60 | 39 |
| 36.36 | 19 |
| 37.27 | 100 |
| 40.12 | 53 |
| 55.25 | 22 |
| 71.02 | 29 |

Crystal structure
Cell lengths 4.4954, 4.4954, 7.4118 Å; angles 90.00, 90.00, 90.00 degrees
Fractional coordinates of all 7 atoms:
Er (0.0000, 0.0000, 0.0000)
In (0.0000, 0.5000, 0.3015)
In (0.0000, 0.5000, 0.6985)
In (0.5000, 0.0000, 0.3015)
In (0.5000, 0.0000, 0.6985)
Ga (0.5000, 0.5000, 0.0000)
Co (0.0000, 0.0000, 0.5000)

[3]
Computed powder diffractogram
Compound: Be2CoIr
Radiation: Cu Kα
Structure: a crystal structure in OQMD, relaxed with GGA-PBE

Main lines, in order of rising 2θ (10 to 80 degrees two-theta):
| 2θ (°) | Rel. int. |
| --- | --- |
| 28.57 | 54 |
| 33.11 | 100 |
| 47.53 | 88 |
| 56.40 | 26 |
| 59.15 | 25 |
| 79.16 | 32 |

Crystal structure
Cell lengths 3.8260, 3.8260, 3.8260 Å; angles 60.00, 60.00, 60.00 degrees
Fractional coordinates of all 4 atoms:
Be (0.2500, 0.2500, 0.2500)
Be (0.7500, 0.7500, 0.7500)
Co (0.0000, 0.0000, 0.0000)
Ir (0.5000, 0.5000, 0.5000)

[4]
Computed powder diffractogram
Compound: Nd4IBr2NCl2
Radiation: Cu Kα
Structure: a crystal structure in OQMD, relaxed with GGA-PBE

Main lines, in order of rising 2θ (10 to 80 degrees two-theta):
| 2θ (°) | Rel. int. |
| --- | --- |
| 10.14 | 37 |
| 10.51 | 49 |
| 30.78 | 100 |
| 34.11 | 18 |
| 43.88 | 17 |
| 44.28 | 19 |

Crystal structure
Cell lengths 9.2257, 9.2257, 8.6994 Å; angles 104.35, 104.35, 24.41 degrees
Fractional coordinates of all 10 atoms:
Nd (0.0004, 0.0004, 0.1939)
Nd (0.9996, 0.9996, 0.8061)
Nd (0.3601, 0.3601, 0.9230)
Nd (0.6399, 0.6399, 0.0770)
I (0.5000, 0.5000, 0.5000)
Br (0.1708, 0.1708, 0.8380)
Br (0.8292, 0.8292, 0.1620)
N (0.5000, 0.5000, 0.0000)
Cl (0.1617, 0.1617, 0.3199)
Cl (0.8383, 0.8383, 0.6801)